No. 1
Theoretical powder XRD pattern
Compound: Ca2HoMg2Cd5
Radiation: Cu Kα (λ = 1.5418 Å)
Structure: the PBE geometry in Alexandria

Atomic structure:
```
Ca2HoMg2Cd5
1.0
10.756 0.000 0.000
0.000 10.756 0.000
0.000 0.000 4.406
Ca Ho Mg Cd
4 2 4 10
Direct
0.179 0.321 0.000 Ca
0.321 0.821 0.000 Ca
0.679 0.179 0.000 Ca
0.821 0.679 0.000 Ca
0.000 0.000 0.000 Ho
0.500 0.500 0.000 Ho
0.117 0.617 0.000 Mg
0.383 0.117 0.000 Mg
0.617 0.883 0.000 Mg
0.883 0.383 0.000 Mg
0.000 0.500 0.500 Cd
0.055 0.794 0.500 Cd
0.206 0.055 0.500 Cd
0.294 0.555 0.500 Cd
0.445 0.294 0.500 Cd
0.500 0.000 0.500 Cd
0.555 0.706 0.500 Cd
0.706 0.445 0.500 Cd
0.794 0.945 0.500 Cd
0.945 0.206 0.500 Cd
```

Largest 10 diffraction maxima, sorted by position, 2θ from 10° to 80°:
| d [Å] | I_rel |
| --- | --- |
| 7.606 | 17 |
| 5.378 | 24 |
| 2.879 | 36 |
| 2.692 | 100 |
| 2.609 | 25 |
| 2.470 | 21 |
| 2.405 | 16 |
| 2.203 | 22 |
| 2.197 | 14 |
| 1.438 | 21 |

No. 2
Theoretical powder XRD pattern
Compound: CaHoCdPd
Radiation: Cu Kα (λ = 1.5418 Å)
Structure: the PBE geometry in Alexandria

Atomic structure:
```
CaHoCdPd
1.0
7.254 0.000 0.000
0.000 7.254 0.000
0.000 0.000 7.254
Ca Ho Cd Pd
4 4 4 4
Direct
0.000 0.000 0.000 Ca
0.000 0.500 0.500 Ca
0.500 0.000 0.500 Ca
0.500 0.500 0.000 Ca
0.000 0.000 0.500 Ho
0.000 0.500 0.000 Ho
0.500 0.000 0.000 Ho
0.500 0.500 0.500 Ho
0.250 0.250 0.750 Cd
0.250 0.750 0.250 Cd
0.750 0.250 0.250 Cd
0.750 0.750 0.750 Cd
0.250 0.250 0.250 Pd
0.250 0.750 0.750 Pd
0.750 0.250 0.750 Pd
0.750 0.750 0.250 Pd
```

Largest 9 diffraction maxima, sorted by position, 2θ from 10° to 80°:
| d [Å] | I_rel |
| --- | --- |
| 4.188 | 18 |
| 2.565 | 100 |
| 2.187 | 10 |
| 1.813 | 17 |
| 1.664 | 5 |
| 1.481 | 35 |
| 1.396 | 3 |
| 1.282 | 11 |
| 1.226 | 3 |

No. 3
Theoretical powder XRD pattern
Compound: Ca3CdI8
Radiation: Cu Kα (λ = 1.5418 Å)
Structure: the PBE geometry in Alexandria

Atomic structure:
```
Ca3CdI8
1.0
7.765 -4.482 0.000
7.765 4.482 0.000
-5.271 0.000 7.733
Ca Cd I
3 1 8
Direct
0.000 0.000 0.000 Ca
0.000 0.500 0.000 Ca
0.500 0.000 0.000 Ca
0.500 0.500 0.000 Cd
0.245 0.245 0.231 I
0.254 0.739 0.227 I
0.261 0.261 0.773 I
0.261 0.746 0.773 I
0.739 0.254 0.227 I
0.739 0.739 0.227 I
0.746 0.261 0.773 I
0.755 0.755 0.769 I
```

Largest 10 diffraction maxima, sorted by position, 2θ from 10° to 80°:
| d [Å] | I_rel |
| --- | --- |
| 7.733 | 39 |
| 3.867 | 28 |
| 3.695 | 26 |
| 3.674 | 52 |
| 3.235 | 100 |
| 3.208 | 50 |
| 2.337 | 18 |
| 2.316 | 37 |
| 2.241 | 55 |
| 1.837 | 19 |

No. 4
Theoretical powder XRD pattern
Compound: K2CaCdI6
Radiation: Cu Kα (λ = 1.5418 Å)
Structure: the PBE geometry in Alexandria

Atomic structure:
```
K2CaCdI6
1.0
8.287 0.000 0.000
0.000 8.287 0.000
0.000 0.000 6.990
K Ca Cd I
2 1 1 6
Direct
0.000 0.500 0.000 K
0.500 0.000 0.000 K
0.000 0.000 0.578 Ca
0.500 0.500 0.554 Cd
0.000 0.000 0.145 I
0.256 0.256 0.690 I
0.256 0.744 0.690 I
0.500 0.500 0.159 I
0.744 0.256 0.690 I
0.744 0.744 0.690 I
```

Largest 10 diffraction maxima, sorted by position, 2θ from 10° to 80°:
| d [Å] | I_rel |
| --- | --- |
| 6.990 | 31 |
| 5.860 | 39 |
| 3.564 | 100 |
| 3.495 | 29 |
| 2.930 | 66 |
| 2.671 | 24 |
| 2.245 | 34 |
| 2.072 | 24 |
| 2.031 | 25 |
| 1.791 | 27 |

No. 5
Theoretical powder XRD pattern
Compound: CaMgCd2I
Radiation: Cu Kα (λ = 1.5418 Å)
Structure: the PBE geometry in Alexandria

Atomic structure:
```
CaMgCd2I
1.0
6.524 0.000 0.000
0.000 6.524 0.000
0.000 0.000 5.720
Ca Mg Cd I
1 1 2 1
Direct
0.000 0.000 0.000 Ca
0.500 0.500 0.000 Mg
0.000 0.500 0.500 Cd
0.500 0.000 0.500 Cd
0.000 0.000 0.500 I
```

Largest 10 diffraction maxima, sorted by position, 2θ from 10° to 80°:
| d [Å] | I_rel |
| --- | --- |
| 6.524 | 60 |
| 5.720 | 86 |
| 3.591 | 43 |
| 3.262 | 100 |
| 2.860 | 35 |
| 2.834 | 63 |
| 2.307 | 38 |
| 2.151 | 61 |
| 2.139 | 28 |
| 1.795 | 34 |

No. 6
Theoretical powder XRD pattern
Compound: Ca3Cd2In7
Radiation: Cu Kα (λ = 1.5418 Å)
Structure: the PBE geometry in Alexandria

Atomic structure:
```
Ca3Cd2In7
1.0
3.038 1.754 10.367
-3.038 1.754 10.367
0.000 -3.508 10.367
Ca Cd In
3 2 7
Direct
0.000 0.000 0.000 Ca
0.141 0.141 0.141 Ca
0.859 0.859 0.859 Ca
0.335 0.335 0.335 Cd
0.665 0.665 0.665 Cd
0.079 0.586 0.586 In
0.414 0.414 0.921 In
0.414 0.921 0.414 In
0.500 0.500 0.500 In
0.586 0.079 0.586 In
0.586 0.586 0.079 In
0.921 0.414 0.414 In
```

Largest 10 diffraction maxima, sorted by position, 2θ from 10° to 80°:
| d [Å] | I_rel |
| --- | --- |
| 5.187 | 65 |
| 2.621 | 100 |
| 2.592 | 45 |
| 2.491 | 28 |
| 2.423 | 48 |
| 2.264 | 31 |
| 1.661 | 19 |
| 1.519 | 22 |
| 1.502 | 20 |
| 1.310 | 24 |

No. 7
Theoretical powder XRD pattern
Compound: CaCd9In2
Radiation: Cu Kα (λ = 1.5418 Å)
Structure: the PBE geometry in Alexandria

Atomic structure:
```
CaCd9In2
1.0
2.987 1.725 9.620
-2.987 1.725 9.620
0.000 -3.449 9.620
Ca Cd In
1 9 2
Direct
0.000 0.000 0.000 Ca
0.080 0.588 0.588 Cd
0.334 0.334 0.334 Cd
0.412 0.412 0.920 Cd
0.412 0.920 0.412 Cd
0.500 0.500 0.500 Cd
0.588 0.080 0.588 Cd
0.588 0.588 0.080 Cd
0.666 0.666 0.666 Cd
0.920 0.412 0.412 Cd
0.141 0.141 0.141 In
0.859 0.859 0.859 In
```

Largest 10 diffraction maxima, sorted by position, 2θ from 10° to 80°:
| d [Å] | I_rel |
| --- | --- |
| 5.093 | 27 |
| 2.987 | 22 |
| 2.577 | 29 |
| 2.538 | 100 |
| 2.435 | 24 |
| 2.405 | 25 |
| 2.361 | 55 |
| 2.340 | 27 |
| 1.624 | 24 |
| 1.494 | 28 |

No. 8
Theoretical powder XRD pattern
Compound: Ca3Cd3In8
Radiation: Cu Kα (λ = 1.5418 Å)
Structure: the PBE geometry in Alexandria

Atomic structure:
```
Ca3Cd3In8
1.0
-2.427 5.487 6.958
2.427 -5.487 6.958
2.427 5.487 -6.958
Ca Cd In
3 3 8
Direct
0.000 0.000 0.000 Ca
0.292 0.292 0.000 Ca
0.708 0.708 0.000 Ca
0.339 0.500 0.839 Cd
0.500 0.000 0.500 Cd
0.661 0.500 0.161 Cd
0.012 0.644 0.368 In
0.142 0.853 0.289 In
0.276 0.644 0.632 In
0.436 0.147 0.289 In
0.564 0.853 0.711 In
0.724 0.356 0.368 In
0.858 0.147 0.711 In
0.988 0.356 0.632 In
```

Largest 10 diffraction maxima, sorted by position, 2θ from 10° to 80°:
| d [Å] | I_rel |
| --- | --- |
| 4.440 | 29 |
| 4.273 | 30 |
| 2.862 | 100 |
| 2.738 | 44 |
| 2.694 | 67 |
| 2.427 | 70 |
| 2.354 | 66 |
| 2.319 | 34 |
| 2.237 | 81 |
| 1.528 | 38 |

No. 9
Theoretical powder XRD pattern
Compound: Ca3Cd2In
Radiation: Cu Kα (λ = 1.5418 Å)
Structure: the PBE geometry in Alexandria

Atomic structure:
```
Ca3Cd2In
1.0
5.364 0.000 0.000
0.000 16.040 0.000
0.000 0.000 3.964
Ca Cd In
6 4 2
Direct
0.000 0.000 0.000 Ca
0.000 0.333 0.000 Ca
0.000 0.667 0.000 Ca
0.500 0.167 0.000 Ca
0.500 0.500 0.000 Ca
0.500 0.833 0.000 Ca
0.000 0.165 0.500 Cd
0.000 0.835 0.500 Cd
0.500 0.335 0.500 Cd
0.500 0.665 0.500 Cd
0.000 0.500 0.500 In
0.500 0.000 0.500 In
```

Largest 10 diffraction maxima, sorted by position, 2θ from 10° to 80°:
| d [Å] | I_rel |
| --- | --- |
| 3.964 | 14 |
| 3.787 | 24 |
| 2.738 | 100 |
| 2.682 | 24 |
| 2.673 | 23 |
| 2.219 | 12 |
| 1.893 | 16 |
| 1.593 | 18 |
| 1.559 | 17 |
| 1.556 | 16 |

No. 10
Theoretical powder XRD pattern
Compound: Ca3Cd6In5
Radiation: Cu Kα (λ = 1.5418 Å)
Structure: the PBE geometry in Alexandria

Atomic structure:
```
Ca3Cd6In5
1.0
4.854 0.000 0.000
0.000 13.875 0.000
0.000 0.000 10.735
Ca Cd In
6 12 10
Direct
0.250 0.043 0.247 Ca
0.250 0.457 0.247 Ca
0.250 0.750 0.246 Ca
0.750 0.250 0.754 Ca
0.750 0.543 0.753 Ca
0.750 0.957 0.753 Ca
0.250 0.104 0.619 Cd
0.250 0.250 0.072 Cd
0.250 0.250 0.421 Cd
0.250 0.396 0.619 Cd
0.250 0.606 0.969 Cd
0.250 0.894 0.969 Cd
0.750 0.106 0.031 Cd
0.750 0.394 0.031 Cd
0.750 0.604 0.381 Cd
0.750 0.750 0.579 Cd
0.750 0.750 0.928 Cd
0.750 0.896 0.381 Cd
0.250 0.096 0.882 In
0.250 0.404 0.882 In
0.250 0.602 0.532 In
0.250 0.750 0.753 In
0.250 0.898 0.532 In
0.750 0.102 0.468 In
0.750 0.250 0.247 In
0.750 0.398 0.468 In
0.750 0.596 0.118 In
0.750 0.904 0.118 In
```

Largest 10 diffraction maxima, sorted by position, 2θ from 10° to 80°:
| d [Å] | I_rel |
| --- | --- |
| 5.367 | 29 |
| 4.247 | 31 |
| 2.841 | 100 |
| 2.729 | 28 |
| 2.660 | 50 |
| 2.427 | 62 |
| 2.316 | 50 |
| 2.313 | 33 |
| 2.216 | 64 |
| 1.515 | 31 |

No. 11
Theoretical powder XRD pattern
Compound: CaCd4In2
Radiation: Cu Kα (λ = 1.5418 Å)
Structure: the PBE geometry in Alexandria

Atomic structure:
```
CaCd4In2
1.0
9.898 0.000 0.000
0.000 7.438 0.000
-3.108 0.000 4.928
Ca Cd In
2 8 4
Direct
0.000 0.000 0.000 Ca
0.500 0.500 0.000 Ca
0.184 0.195 0.660 Cd
0.184 0.805 0.660 Cd
0.316 0.305 0.340 Cd
0.316 0.695 0.340 Cd
0.684 0.305 0.660 Cd
0.684 0.695 0.660 Cd
0.816 0.195 0.340 Cd
0.816 0.805 0.340 Cd
0.048 0.500 0.803 In
0.452 0.000 0.197 In
0.548 0.000 0.803 In
0.952 0.500 0.197 In
```

Largest 10 diffraction maxima, sorted by position, 2θ from 10° to 80°:
| d [Å] | I_rel |
| --- | --- |
| 3.014 | 47 |
| 2.969 | 51 |
| 2.780 | 100 |
| 2.623 | 50 |
| 2.582 | 85 |
| 2.377 | 34 |
| 2.318 | 41 |
| 2.290 | 72 |
| 2.281 | 46 |
| 2.048 | 37 |

No. 12
Theoretical powder XRD pattern
Compound: Ca2Cd4In
Radiation: Cu Kα (λ = 1.5418 Å)
Structure: the PBE geometry in Alexandria

Atomic structure:
```
Ca2Cd4In
1.0
0.000 5.119 8.005
2.911 0.000 8.005
2.911 5.119 0.000
Ca Cd In
2 4 1
Direct
0.107 0.107 0.893 Ca
0.893 0.893 0.107 Ca
0.000 0.000 0.500 Cd
0.303 0.303 0.697 Cd
0.500 0.500 0.000 Cd
0.697 0.697 0.303 Cd
0.500 0.500 0.500 In
```

Largest 10 diffraction maxima, sorted by position, 2θ from 10° to 80°:
| d [Å] | I_rel |
| --- | --- |
| 8.005 | 63 |
| 5.119 | 29 |
| 4.825 | 35 |
| 4.312 | 68 |
| 4.003 | 39 |
| 2.706 | 100 |
| 2.559 | 51 |
| 2.530 | 98 |
| 2.167 | 52 |
| 2.139 | 29 |

No. 13
Theoretical powder XRD pattern
Compound: Ca2CdIn
Radiation: Cu Kα (λ = 1.5418 Å)
Structure: the PBE geometry in Alexandria

Atomic structure:
```
Ca2CdIn
1.0
5.395 0.000 0.000
0.000 5.395 0.000
0.000 0.000 3.915
Ca Cd In
2 1 1
Direct
0.000 0.500 0.000 Ca
0.500 0.000 0.000 Ca
0.000 0.000 0.500 Cd
0.500 0.500 0.500 In
```

Largest 10 diffraction maxima, sorted by position, 2θ from 10° to 80°:
| d [Å] | I_rel |
| --- | --- |
| 3.915 | 13 |
| 3.815 | 25 |
| 2.732 | 100 |
| 2.698 | 48 |
| 2.221 | 12 |
| 1.958 | 9 |
| 1.907 | 17 |
| 1.584 | 18 |
| 1.564 | 34 |
| 1.366 | 11 |

No. 14
Theoretical powder XRD pattern
Compound: Ca3CdIn2
Radiation: Cu Kα (λ = 1.5418 Å)
Structure: the PBE geometry in Alexandria

Atomic structure:
```
Ca3CdIn2
1.0
5.386 0.000 0.000
0.000 16.168 0.000
0.000 0.000 3.937
Ca Cd In
6 2 4
Direct
0.000 0.000 0.000 Ca
0.000 0.334 0.000 Ca
0.000 0.666 0.000 Ca
0.500 0.166 0.000 Ca
0.500 0.500 0.000 Ca
0.500 0.834 0.000 Ca
0.000 0.500 0.500 Cd
0.500 0.000 0.500 Cd
0.000 0.167 0.500 In
0.000 0.833 0.500 In
0.500 0.333 0.500 In
0.500 0.667 0.500 In
```

Largest 10 diffraction maxima, sorted by position, 2θ from 10° to 80°:
| d [Å] | I_rel |
| --- | --- |
| 3.937 | 13 |
| 3.810 | 25 |
| 2.738 | 100 |
| 2.694 | 48 |
| 2.223 | 12 |
| 1.969 | 9 |
| 1.905 | 17 |
| 1.589 | 18 |
| 1.564 | 34 |
| 1.369 | 11 |